Starting from a structure optimized by DFT (PBE), the PXRD pattern of Sr2CaNiH6 was calculated for Cu Kα (weighted mean of Kα1 and Kα2).

Main lines, by intensity (15 to 90 degrees two-theta):
| d_spacing | 2θ (°) | I_rel |
| --- | --- | --- |
| 2.678 | 33.46 | 100 |
| 3.639 | 24.46 | 87 |
| 2.479 | 36.23 | 78 |
| 5.867 | 15.10 | 51 |
| 1.505 | 61.63 | 32 |
| 1.819 | 50.14 | 32 |
| 2.436 | 36.89 | 31 |
| 2.157 | 41.88 | 23 |
| 1.680 | 54.63 | 19 |
| 1.546 | 59.81 | 18 |

Structure:
```
data_Sr2CaNiH6
_chemical_formula_sum 'Sr2 Ca1 Ni1 H6'
_symmetry_space_group_name_H-M 'P -3 m 1'
_symmetry_Int_Tables_number 164
_symmetry_space_group_name_Hall '-P 3 2"'
_cell_length_a 5.3564
_cell_length_b 5.3564
_cell_length_c 5.8673
_cell_angle_alpha 90.00
_cell_angle_beta 90.00
_cell_angle_gamma 120.00
loop_
_atom_site_label
_atom_site_type_symbol
_atom_site_fract_x
_atom_site_fract_y
_atom_site_fract_z
Sr1 Sr 0.3333 0.6667 0.1489
Ca1 Ca 0.0000 0.0000 0.5000
Ni1 Ni 0.0000 0.0000 0.0000
H1 H 0.1481 0.2962 0.8277
```